# 1
The following is a simulated powder XRD pattern of LiLu2GaPd4. It was derived from a structure optimized by DFT (GGA-PBE), using Cu Ka.

Structure:
```
8
Lattice="4.369 0.000 0.000 -2.184 3.783 0.000 0.000 0.000 8.828" Properties=species:S:1:pos:R:3 pbc="T T T"
Li 0.000 0.000 0.000
Lu 0.000 2.522 2.178
Lu 2.184 1.261 6.650
Ga 0.000 0.000 4.414
Pd 0.000 2.522 5.149
Pd 0.000 2.522 8.064
Pd 2.184 1.261 0.764
Pd 2.184 1.261 3.678
```

Peak list (12 most intense, 10° ≤ 2θ ≤ 80°, in order of falling intensity)
Position (°2θ), I/Imax
38.8, 100.0
41.3, 67.2
23.5, 39.2
58.0, 30.7
73.7, 29.9
78.4, 13.5
75.4, 11.3
25.6, 10.6
68.4, 8.9
31.1, 8.5
48.1, 5.7
65.2, 4.6

# 2
The following is a simulated powder XRD pattern of Li2MgZn2GaPd2. It was derived from a structure optimized by DFT (GGA-PBE), using Cu Ka.

Structure:
```
8
Lattice="4.376 0.000 0.000 0.000 4.376 0.000 0.000 0.000 6.186" Properties=species:S:1:pos:R:3 pbc="T T T"
Li 0.000 2.188 1.486
Li 2.188 0.000 4.700
Mg 0.000 0.000 3.093
Zn 0.000 0.000 0.000
Zn 2.188 2.188 3.093
Ga 2.188 2.188 0.000
Pd 0.000 2.188 4.713
Pd 2.188 0.000 1.473
```

Peak list (12 most intense, 10° ≤ 2θ ≤ 80°, in order of falling intensity)
Position (°2θ), I/Imax
41.3, 100.0
24.9, 52.4
75.2, 31.4
48.8, 24.3
59.8, 16.1
65.8, 9.5
14.3, 4.3
20.3, 2.1
35.5, 1.5
53.4, 1.4
43.9, 1.1
55.6, 0.8

# 3
The following is a simulated powder XRD pattern of Li2Mg3GaPt2. It was derived from a structure optimized by DFT (GGA-PBE), using Cu Ka.

Structure:
```
8
Lattice="4.466 0.000 0.000 0.000 4.466 0.000 0.000 0.000 6.334" Properties=species:S:1:pos:R:3 pbc="T T T"
Li 0.000 2.233 1.520
Li 2.233 0.000 4.814
Mg 0.000 0.000 3.167
Mg 2.233 2.233 0.000
Mg 2.233 2.233 3.167
Ga 0.000 0.000 0.000
Pt 0.000 2.233 4.824
Pt 2.233 0.000 1.510
```

Peak list (12 most intense, 10° ≤ 2θ ≤ 80°, in order of falling intensity)
Position (°2θ), I/Imax
24.4, 100.0
40.4, 84.7
47.7, 33.8
28.2, 21.3
64.2, 20.5
73.4, 19.2
47.6, 16.3
78.7, 11.8
58.5, 9.6
73.3, 9.2
50.0, 6.2
66.1, 5.6

# 4
The following is a simulated powder XRD pattern of Li4MgGa2Pt. It was derived from a structure optimized by DFT (GGA-PBE), using Cu Ka.

Structure:
```
8
Lattice="4.400 0.000 0.000 0.000 4.400 0.000 0.000 0.000 6.300" Properties=species:S:1:pos:R:3 pbc="T T T"
Li 0.000 0.000 0.000
Li 0.000 2.200 4.574
Li 2.200 0.000 1.726
Li 2.200 2.200 3.150
Mg 2.200 2.200 0.000
Ga 0.000 2.200 1.741
Ga 2.200 0.000 4.559
Pt 0.000 0.000 3.150
```

Peak list (12 most intense, 10° ≤ 2θ ≤ 80°, in order of falling intensity)
Position (°2θ), I/Imax
24.7, 100.0
40.8, 62.2
14.1, 53.7
20.2, 35.5
48.5, 32.6
41.0, 31.9
74.6, 20.6
35.0, 19.6
32.1, 16.3
48.0, 15.7
43.6, 13.5
64.9, 12.7

# 5
The following is a simulated powder XRD pattern of Li2Mg2TlGaPt2. It was derived from a structure optimized by DFT (GGA-PBE), using Cu Ka.

Structure:
```
8
Lattice="4.508 0.000 0.000 0.000 4.508 0.000 0.000 0.000 6.477" Properties=species:S:1:pos:R:3 pbc="T T T"
Li 0.000 2.254 1.502
Li 2.254 0.000 4.974
Mg 0.000 0.000 0.000
Mg 2.254 2.254 3.238
Tl 0.000 0.000 3.238
Ga 2.254 2.254 0.000
Pt 0.000 2.254 5.036
Pt 2.254 0.000 1.441
```

Peak list (12 most intense, 10° ≤ 2θ ≤ 80°, in order of falling intensity)
Position (°2θ), I/Imax
24.1, 100.0
39.7, 72.4
40.0, 37.7
47.2, 33.9
72.4, 24.8
46.6, 14.6
57.9, 12.9
63.1, 12.0
31.3, 10.5
71.8, 10.4
77.8, 8.0
34.1, 7.3

# 6
The following is a simulated powder XRD pattern of Li2TaNbGa2Os2. It was derived from a structure optimized by DFT (GGA-PBE), using Cu Ka.

Structure:
```
8
Lattice="4.361 0.000 0.000 0.000 4.361 0.000 0.000 0.000 6.166" Properties=species:S:1:pos:R:3 pbc="T T T"
Li 0.000 2.181 1.540
Li 2.181 0.000 4.626
Ta 0.000 0.000 3.083
Nb 2.181 2.181 0.000
Ga 0.000 0.000 0.000
Ga 2.181 2.181 3.083
Os 0.000 2.181 4.617
Os 2.181 0.000 1.549
```

Peak list (12 most intense, 10° ≤ 2θ ≤ 80°, in order of falling intensity)
Position (°2θ), I/Imax
41.4, 100.0
25.0, 56.9
75.5, 34.0
49.0, 28.4
60.0, 16.8
66.0, 11.8
14.4, 2.4
20.4, 2.0
32.5, 1.3
35.7, 1.1
44.1, 0.8
55.8, 0.6

# 7
The following is a simulated powder XRD pattern of Li2Sc2GaNi2Sn. It was derived from a structure optimized by DFT (GGA-PBE), using Cu Ka.

Structure:
```
8
Lattice="4.389 0.000 0.000 0.000 4.389 0.000 0.000 0.000 6.243" Properties=species:S:1:pos:R:3 pbc="T T T"
Li 0.000 2.195 1.487
Li 2.195 0.000 4.756
Sc 0.000 0.000 3.121
Sc 2.195 2.195 0.000
Ga 0.000 0.000 0.000
Ni 0.000 2.195 4.740
Ni 2.195 0.000 1.503
Sn 2.195 2.195 3.121
```

Peak list (12 most intense, 10° ≤ 2θ ≤ 80°, in order of falling intensity)
Position (°2θ), I/Imax
41.0, 100.0
24.8, 53.3
41.1, 49.8
74.9, 31.7
48.6, 17.8
59.6, 16.0
74.6, 15.8
28.8, 15.1
48.4, 8.9
59.2, 8.0
28.6, 7.8
65.4, 7.2

# 8
The following is a simulated powder XRD pattern of Li4GaNi2Sn. It was derived from a structure optimized by DFT (GGA-PBE), using Cu Ka.

Structure:
```
8
Lattice="4.236 0.000 0.000 0.000 4.236 0.000 0.000 0.000 6.005" Properties=species:S:1:pos:R:3 pbc="T T T"
Li 0.000 0.000 0.000
Li 0.000 2.118 1.394
Li 2.118 0.000 4.611
Li 2.118 2.118 3.002
Ga 2.118 2.118 0.000
Ni 0.000 2.118 4.587
Ni 2.118 0.000 1.418
Sn 0.000 0.000 3.002
```

Peak list (12 most intense, 10° ≤ 2θ ≤ 80°, in order of falling intensity)
Position (°2θ), I/Imax
25.7, 100.0
42.7, 95.0
50.5, 47.0
78.1, 20.5
68.2, 18.7
62.0, 10.3
78.0, 9.9
61.8, 4.9
29.8, 4.4
33.4, 3.8
21.0, 3.7
36.7, 2.2

# 9
The following is a simulated powder XRD pattern of Li4ZnGa2Ni. It was derived from a structure optimized by DFT (GGA-PBE), using Cu Ka.

Structure:
```
8
Lattice="4.231 0.000 0.000 0.000 4.231 0.000 0.000 0.000 6.046" Properties=species:S:1:pos:R:3 pbc="T T T"
Li 0.000 0.000 0.000
Li 0.000 2.116 4.489
Li 2.116 0.000 1.557
Li 2.116 2.116 3.023
Zn 2.116 2.116 0.000
Ga 0.000 2.116 1.650
Ga 2.116 0.000 4.396
Ni 0.000 0.000 3.023
```

Peak list (12 most intense, 10° ≤ 2θ ≤ 80°, in order of falling intensity)
Position (°2θ), I/Imax
25.7, 100.0
42.5, 66.5
42.7, 34.1
50.5, 30.3
78.1, 20.2
50.1, 14.1
62.0, 10.7
68.0, 10.7
77.6, 9.1
68.3, 5.8
61.3, 4.7
36.5, 2.0

# 10
The following is a simulated powder XRD pattern of Li4Zn2GaNi. It was derived from a structure optimized by DFT (GGA-PBE), using Cu Ka.

Structure:
```
8
Lattice="4.229 0.000 0.000 0.000 4.229 0.000 0.000 0.000 6.052" Properties=species:S:1:pos:R:3 pbc="T T T"
Li 0.000 0.000 0.000
Li 0.000 2.115 1.435
Li 2.115 0.000 4.616
Li 2.115 2.115 3.026
Zn 0.000 2.115 4.657
Zn 2.115 0.000 1.395
Ga 0.000 0.000 3.026
Ni 2.115 2.115 0.000
```

Peak list (12 most intense, 10° ≤ 2θ ≤ 80°, in order of falling intensity)
Position (°2θ), I/Imax
25.7, 100.0
42.5, 67.1
42.8, 33.9
50.6, 30.1
78.1, 20.2
50.1, 14.5
67.9, 11.0
62.1, 10.6
77.6, 9.4
68.3, 5.7
61.3, 4.9
36.5, 1.4

# 11
The following is a simulated powder XRD pattern of Li4GaTcO6. It was derived from a structure optimized by DFT (GGA-PBE), using Cu Ka.

Structure:
```
12
Lattice="2.550 -4.409 0.000 2.550 4.409 0.000 -1.725 0.000 4.787" Properties=species:S:1:pos:R:3 pbc="T T T"
Li 0.000 0.000 0.000
Li 2.550 1.418 0.000
Li 2.550 -1.590 0.000
Li 1.688 -2.998 2.394
Ga 1.688 2.883 2.394
Tc 1.688 -0.065 2.394
O 0.933 1.402 1.267
O 0.046 -0.127 3.501
O 0.804 -1.442 1.281
O 2.443 1.402 3.520
O 3.329 -0.127 1.286
O 2.571 -1.442 3.506
```

Peak list (12 most intense, 10° ≤ 2θ ≤ 80°, in order of falling intensity)
Position (°2θ), I/Imax
18.5, 100.0
43.6, 57.1
35.8, 47.5
21.1, 39.5
23.6, 29.0
43.4, 28.9
63.2, 24.6
20.1, 22.8
27.5, 19.4
63.3, 16.2
37.5, 15.5
57.8, 12.8

# 12
The following is a simulated powder XRD pattern of LiGa2Pd2. It was derived from a structure optimized by DFT (GGA-PBE), using Cu Ka.

Structure:
```
10
Lattice="7.300 0.000 0.000 0.000 7.300 0.000 0.000 0.000 2.937" Properties=species:S:1:pos:R:3 pbc="T T T"
Li 0.000 0.000 0.000
Li 3.650 3.650 0.000
Ga 1.033 2.617 0.000
Ga 2.617 6.267 0.000
Ga 4.683 1.033 0.000
Ga 6.267 4.683 0.000
Pd 1.145 4.795 1.468
Pd 2.504 1.145 1.468
Pd 4.795 6.154 1.468
Pd 6.154 2.504 1.468
```

Peak list (12 most intense, 10° ≤ 2θ ≤ 80°, in order of falling intensity)
Position (°2θ), I/Imax
41.4, 100.0
17.2, 43.4
39.0, 32.1
77.6, 21.6
24.4, 16.0
53.2, 15.6
50.0, 14.5
61.1, 12.3
77.0, 8.3
27.3, 6.1
63.3, 6.0
55.1, 5.7